[1]
Structure and theoretical powder diffraction line list of LiCaBi (a structure optimized by DFT (PBE); Cu Ka).

Peak list (12 most intense, 10° ≤ 2θ ≤ 90°, by angle)
2θ/deg	d (Å)	intensity
21.4	4.145	19
22.7	3.921	29
23.6	3.773	77
24.3	3.664	100
31.4	2.848	55
36.6	2.453	33
38.1	2.365	20
40.4	2.234	21
40.8	2.211	24
43.5	2.079	28
45.3	2.004	29
56.7	1.624	16

Cell and atoms:
```
LiCaBi
1.0
7.8410 0.0000 0.0000
0.0000 4.7290 0.0000
0.0000 0.0000 8.6067
Li Ca Bi
4 4 4
direct
0.1484 0.2500 0.0692
0.3516 0.7500 0.5692
0.6484 0.2500 0.4308
0.8516 0.7500 0.9308
0.0140 0.2500 0.6987
0.4860 0.7500 0.1987
0.5140 0.2500 0.8013
0.9860 0.7500 0.3013
0.2329 0.7500 0.8961
0.2671 0.2500 0.3961
0.7329 0.7500 0.6039
0.7671 0.2500 0.1039
```

[2]
Structure and theoretical powder diffraction line list of AcHgTe2 (a structure optimized by DFT (PBE); Cu Ka).

Peak list (12 most intense, 10° ≤ 2θ ≤ 90°, by angle)
2θ/deg	d (Å)	intensity
22.1	4.016	8
31.5	2.840	100
38.8	2.319	3
45.2	2.008	19
50.8	1.796	4
56.1	1.640	40
65.8	1.420	12
70.3	1.339	2
74.7	1.270	17
79.1	1.211	1
83.4	1.159	4
87.6	1.114	1

Cell and atoms:
```
AcHgTe2
1.0
8.0323 0.0000 0.0000
0.0000 8.0323 0.0000
0.0000 0.0000 8.0323
Ac Hg Te
4 4 8
direct
0.0000 0.0000 0.0000
0.0000 0.5000 0.5000
0.5000 0.0000 0.5000
0.5000 0.5000 0.0000
0.0000 0.0000 0.5000
0.0000 0.5000 0.0000
0.5000 0.0000 0.0000
0.5000 0.5000 0.5000
0.2500 0.2500 0.2500
0.2500 0.2500 0.7500
0.2500 0.7500 0.2500
0.2500 0.7500 0.7500
0.7500 0.2500 0.2500
0.7500 0.2500 0.7500
0.7500 0.7500 0.2500
0.7500 0.7500 0.7500
```

[3]
Structure and theoretical powder diffraction line list of BaZrB2O6 (a structure optimized by DFT (PBE); Cu Ka).

Peak list (12 most intense, 10° ≤ 2θ ≤ 90°, by angle)
2θ/deg	d (Å)	intensity
22.2	4.011	80
28.5	3.130	100
34.3	2.612	35
41.3	2.189	28
45.2	2.005	13
46.4	1.955	21
46.9	1.938	38
54.7	1.677	21
58.0	1.591	19
70.1	1.343	9
70.4	1.337	9
79.5	1.205	9

Cell and atoms:
```
BaZrB2O6
1.0
2.6116 1.5078 11.5636
-2.6116 1.5078 11.5636
0.0000 -3.0156 11.5636
Ba Zr B O
2 2 4 12
direct
0.2500 0.2500 0.2500
0.7500 0.7500 0.7500
0.0000 0.0000 0.0000
0.5000 0.5000 0.5000
0.1311 0.1311 0.1311
0.3689 0.3689 0.3689
0.6311 0.6311 0.6311
0.8689 0.8689 0.8689
0.1633 0.6679 0.2781
0.1679 0.6633 0.7781
0.2219 0.8321 0.3367
0.2781 0.1633 0.6679
0.3321 0.7219 0.8367
0.3367 0.2219 0.8321
0.6633 0.7781 0.1679
0.6679 0.2781 0.1633
0.7219 0.8367 0.3321
0.7781 0.1679 0.6633
0.8321 0.3367 0.2219
0.8367 0.3321 0.7219
```

- Which formula does entry 1 have?
  LiCaBi

What did the first record say?
Structure and theoretical powder diffraction line list of LiCaBi (a structure optimized by DFT (PBE); Cu Ka).

Peak list (12 most intense, 10° ≤ 2θ ≤ 90°, by angle)
2θ/deg	d (Å)	intensity
21.4	4.145	19
22.7	3.921	29
23.6	3.773	77
24.3	3.664	100
31.4	2.848	55
36.6	2.453	33
38.1	2.365	20
40.4	2.234	21
40.8	2.211	24
43.5	2.079	28
45.3	2.004	29
56.7	1.624	16

Cell and atoms:
```
LiCaBi
1.0
7.8410 0.0000 0.0000
0.0000 4.7290 0.0000
0.0000 0.0000 8.6067
Li Ca Bi
4 4 4
direct
0.1484 0.2500 0.0692
0.3516 0.7500 0.5692
0.6484 0.2500 0.4308
0.8516 0.7500 0.9308
0.0140 0.2500 0.6987
0.4860 0.7500 0.1987
0.5140 0.2500 0.8013
0.9860 0.7500 0.3013
0.2329 0.7500 0.8961
0.2671 0.2500 0.3961
0.7329 0.7500 0.6039
0.7671 0.2500 0.1039
```

What did the first record say?
Structure and theoretical powder diffraction line list of LiCaBi (a structure optimized by DFT (PBE); Cu Ka).

Peak list (12 most intense, 10° ≤ 2θ ≤ 90°, by angle)
2θ/deg	d (Å)	intensity
21.4	4.145	19
22.7	3.921	29
23.6	3.773	77
24.3	3.664	100
31.4	2.848	55
36.6	2.453	33
38.1	2.365	20
40.4	2.234	21
40.8	2.211	24
43.5	2.079	28
45.3	2.004	29
56.7	1.624	16

Cell and atoms:
```
LiCaBi
1.0
7.8410 0.0000 0.0000
0.0000 4.7290 0.0000
0.0000 0.0000 8.6067
Li Ca Bi
4 4 4
direct
0.1484 0.2500 0.0692
0.3516 0.7500 0.5692
0.6484 0.2500 0.4308
0.8516 0.7500 0.9308
0.0140 0.2500 0.6987
0.4860 0.7500 0.1987
0.5140 0.2500 0.8013
0.9860 0.7500 0.3013
0.2329 0.7500 0.8961
0.2671 0.2500 0.3961
0.7329 0.7500 0.6039
0.7671 0.2500 0.1039
```